The following is a calculated powder XRD pattern of U6Cu2S13. It was derived from the GGA-PBE geometry in OQMD, using λ = 1.5418 Å (Cu Kα).
Lines closer than 0.1° are merged.

Peak list (8 most intense, 10 to 90 degrees two-theta, sorted by position)
(hkl)	2θ/deg	I (rel.)
2 0 0	17.75	159
0 0 4	25.80	1000
3 1 -1	27.00	158
1 3 2	27.80	319
3 1 3	37.62	128
0 6 0	44.15	136
1 3 -6	44.22	259
0 6 4	51.88	126

Cell and atoms:
Cell: 10.2859 12.3072 14.1835 Å, 90.00 103.66 90.00°
Space group C2/c (No. 15)
Inequivalent atoms, fractional coordinates:
U (0.1590, 0.1730, 0.1100) (multiplicity 8)
U (0.1710, 0.0065, 0.3580) (multiplicity 8)
U (0.1756, 0.3334, 0.3568) (multiplicity 8)
Cu (0.0300, 0.3557, 0.8698) (multiplicity 8)
S (0.0000, 0.1720, 0.2500) (multiplicity 4)
S (0.1048, 0.3833, 0.1646) (multiplicity 8)
S (0.1063, 0.0375, 0.6672) (multiplicity 8)
S (0.1142, 0.1751, 0.4748) (multiplicity 8)
S (0.1320, 0.1974, 0.9143) (multiplicity 8)
S (0.1671, 0.4795, 0.9527) (multiplicity 8)
S (0.1802, 0.3333, 0.7034) (multiplicity 8)



The following is a calculated powder XRD pattern of CuWS4. It was derived from the GGA-PBE geometry in OQMD, using λ = 1.5418 Å (Cu Kα).
Lines closer than 0.1° are merged.

Peak list (8 most intense, 10 to 90 degrees two-theta, sorted by position)
(hkl)	2θ/deg	I (rel.)
0 2 0	14.45	1000
0 0 1	14.75	285
0 2 1	20.70	209
1 1 1	32.19	338
0 2 2	33.22	206
1 3 1	38.46	535
1 5 1	48.96	275
1 1 3	54.34	201

Cell and atoms:
Cell: 3.2460 12.2611 6.0056 Å, 90.00 90.00 90.00°
Space group Cmm2 (No. 35)
Inequivalent atoms, fractional coordinates:
Cu (0.0000, 0.0000, 0.0000) (multiplicity 2)
W (0.0000, 0.5000, 0.4155) (multiplicity 2)
S (0.0000, 0.1255, 0.5556) (multiplicity 4)
S (0.0000, 0.3802, 0.0876) (multiplicity 4)



The following is a calculated powder XRD pattern of YCuS2. It was derived from the GGA-PBE geometry in OQMD, using λ = 1.5418 Å (Cu Kα).
Lines closer than 0.1° are merged.

Peak list (8 most intense, 10 to 90 degrees two-theta, sorted by position)
(hkl)	2θ/deg	I (rel.)
1 1 1	24.23	1000
1 2 -1	31.34	453
2 1 -1	32.34	973
1 1 2	34.47	649
0 2 2	37.22	538
2 2 0	38.36	285
0 1 3	42.66	326
1 3 -1	42.87	361

Cell and atoms:
Cell: 6.3766 7.0068 6.7300 Å, 90.00 97.55 90.00°
Space group P2_1/c (No. 14)
Inequivalent atoms, fractional coordinates:
Y (0.1941, 0.0482, 0.3023) (multiplicity 4)
Cu (0.4145, 0.6569, 0.4426) (multiplicity 4)
S (0.0739, 0.7266, 0.4975) (multiplicity 4)
S (0.4091, 0.1151, 0.7187) (multiplicity 4)



The following is a calculated powder XRD pattern of Cu11Sb3. It was derived from the GGA-PBE geometry in OQMD, using λ = 1.5418 Å (Cu Kα).
Lines closer than 0.1° are merged.

Peak list (8 most intense, 10 to 90 degrees two-theta, sorted by position)
(hkl)	2θ/deg	I (rel.)
0 7 1	37.80	270
2 0 0	41.98	386
1 0 2	43.22	529
1 7 1	43.45	1000
2 7 1	57.76	148
0 7 3	67.92	152
3 7 1	77.72	169
2 7 3	83.15	171

Cell and atoms:
Cell: 4.3043 19.1938 4.7912 Å, 90.00 90.00 90.00°
Space group Amm2 (No. 38)
Inequivalent atoms, fractional coordinates:
Cu (0.0000, 0.0000, 0.0000) (multiplicity 2)
Cu (0.0000, 0.0729, 0.5448) (multiplicity 4)
Cu (0.0000, 0.2140, 0.5334) (multiplicity 4)
Cu (0.5000, 0.0731, 0.8496) (multiplicity 4)
Cu (0.5000, 0.1473, 0.3925) (multiplicity 4)
Cu (0.5000, 0.2200, 0.8451) (multiplicity 4)
Sb (0.0000, 0.1461, 0.0351) (multiplicity 4)
Sb (0.5000, 0.0000, 0.3584) (multiplicity 2)



The following is a calculated powder XRD pattern of Cu9Sb2. It was derived from the GGA-PBE geometry in OQMD, using λ = 1.5418 Å (Cu Kα).
Lines closer than 0.1° are merged.

Peak list (8 most intense, 10 to 90 degrees two-theta, sorted by position)
(hkl)	2θ/deg	I (rel.)
0 0 5	14.17	147
1 0 5	39.54	1000
1 0 6	40.73	485
0 0 16	46.49	207
0 1 10	47.16	303
0 1 11	49.13	478
1 1 0	66.13	289
1 1 16	84.65	197

Cell and atoms:
Cell: 2.8265 2.8265 31.2522 Å, 90.00 90.00 120.00°
Space group P-3m1 (No. 164)
Inequivalent atoms, fractional coordinates:
Cu (0.0000, 0.0000, 0.0000) (multiplicity 1)
Cu (0.0000, 0.0000, 0.1830) (multiplicity 2)
Cu (0.3333, 0.6667, 0.1218) (multiplicity 2)
Cu (0.3333, 0.6667, 0.7553) (multiplicity 2)
Cu (0.3333, 0.6667, 0.9392) (multiplicity 2)
Sb (0.3333, 0.6667, 0.3183) (multiplicity 2)



The following is a calculated powder XRD pattern of Cu7Sb2. It was derived from the GGA-PBE geometry in OQMD, using λ = 1.5418 Å (Cu Kα).
Lines closer than 0.1° are merged.

Peak list (8 most intense, 10 to 90 degrees two-theta, sorted by position)
(hkl)	2θ/deg	I (rel.)
0 0 3	12.92	238
0 0 4	17.26	251
2 0 -2	37.13	331
1 1 3	38.45	987
2 0 -4	40.23	1000
1 1 -7	47.85	679
2 0 7	47.96	323
3 1 0	64.86	268

Cell and atoms:
Cell: 4.9765 2.8806 20.5496 Å, 90.00 90.07 90.00°
Space group C2/m (No. 12)
Inequivalent atoms, fractional coordinates:
Cu (0.0000, 0.0000, 0.0000) (multiplicity 2)
Cu (0.0005, 0.0000, 0.2750) (multiplicity 4)
Cu (0.1663, 0.5000, 0.8174) (multiplicity 4)
Cu (0.1668, 0.5000, 0.0913) (multiplicity 4)
Sb (0.1674, 0.5000, 0.3855) (multiplicity 4)



The following is a calculated powder XRD pattern of Cu7Sb. It was derived from the GGA-PBE geometry in OQMD, using λ = 1.5418 Å (Cu Kα).
Lines closer than 0.1° are merged.

Peak list (8 most intense, 10 to 90 degrees two-theta, sorted by position)
(hkl)	2θ/deg	I (rel.)
0 0 3	10.51	196
0 1 9	41.72	292
1 1 0	42.29	1000
0 1 10	44.69	547
1 0 9	46.28	214
1 0 10	49.02	392
0 2 0	53.86	248
1 2 10	75.78	192

Cell and atoms:
Cell: 2.7452 3.4049 25.2429 Å, 90.00 90.00 90.00°
Space group Pmmn (No. 59, origin choice 2)
Inequivalent atoms, fractional coordinates:
Cu (0.2500, 0.2500, 0.0255) (multiplicity 2)
Cu (0.2500, 0.2500, 0.1274) (multiplicity 2)
Cu (0.2500, 0.2500, 0.2290) (multiplicity 2)
Cu (0.2500, 0.2500, 0.3307) (multiplicity 2)
Cu (0.2500, 0.2500, 0.7202) (multiplicity 2)
Cu (0.2500, 0.2500, 0.8220) (multiplicity 2)
Cu (0.2500, 0.2500, 0.9238) (multiplicity 2)
Sb (0.2500, 0.2500, 0.6004) (multiplicity 2)